Theoretical X-ray diffraction stick pattern of Ho3ZrC2S2 for a wavelength of 1.5418 Å, from the PBE geometry in OQMD.
Neutral-atom scattering factors, no anomalous dispersion.

Atomic structure:
```
Ho3ZrC2S2
1.0
3.6063 0.0000 0.0000
-1.8032 3.1231 0.0000
0.0000 0.0000 12.7008
Ho Zr C S
3 1 2 2
Direct
0.0000 0.0000 0.0000 Ho
0.0000 0.0000 0.2954 Ho
0.3333 0.6667 0.7893 Ho
0.3333 0.6667 0.4984 Zr
0.6667 0.3333 0.4070 C
0.6667 0.3333 0.8927 C
0.0000 0.0000 0.6355 S
0.3333 0.6667 0.1494 S
```

Principal peaks in the range 2θ from 10° to 90°, in order of rising 2θ:
2θ 28.10, d 3.175, I = 19
2θ 28.58, d 3.123, I = 31
2θ 29.45, d 3.033, I = 39
2θ 35.73, d 2.513, I = 100
2θ 40.51, d 2.227, I = 15
2θ 50.62, d 1.803, I = 29
2θ 58.88, d 1.568, I = 32
2θ 63.50, d 1.465, I = 18
2θ 68.34, d 1.373, I = 12
2θ 85.37, d 1.137, I = 17